For U6Fe30P19, a GGA-PBE-relaxed structure gives the calculated PXRD pattern in this record (Cu Kα (weighted mean of Kα1 and Kα2)).

```
data_U6Fe30P19
_cell_length_a 14.5629
_cell_length_b 14.5629
_cell_length_c 3.5848
_cell_angle_alpha 90.00
_cell_angle_beta 90.00
_cell_angle_gamma 120.00
_symmetry_space_group_name_H-M 'P -6'
_symmetry_Int_Tables_number 174
loop_
_symmetry_equiv_pos_as_xyz
'x,y,z'
'-x+y,-x,-z'
'-y,x-y,z'
'x,y,-z'
'-x+y,-x,z'
'-y,x-y,-z'
loop_
_atom_site_label
_atom_site_type_symbol
_atom_site_fract_x
_atom_site_fract_y
_atom_site_fract_z
U1 U 0.0381 0.7657 0.0000
U2 U 0.4327 0.0602 0.5000
Fe1 Fe 0.0605 0.6243 0.5000
Fe2 Fe 0.0696 0.2508 0.5000
Fe3 Fe 0.1007 0.3971 0.0000
Fe4 Fe 0.1089 0.0149 0.0000
Fe5 Fe 0.1994 0.5615 0.5000
Fe6 Fe 0.2063 0.6999 0.0000
Fe7 Fe 0.2573 0.1315 0.5000
Fe8 Fe 0.4089 0.2015 0.0000
Fe9 Fe 0.4871 0.4019 0.0000
Fe10 Fe 0.5575 0.3173 0.5000
P1 P 0.0164 0.9039 0.5000
P2 P 0.0771 0.5372 0.0000
P3 P 0.2042 0.7911 0.5000
P4 P 0.2703 0.0385 0.0000
P5 P 0.3333 0.6667 0.0000
P6 P 0.3971 0.2949 0.5000
P7 P 0.5702 0.2212 0.0000
```

Most intense lines, 2θ = 5–70°, low angle first:
18.6°, rel. 29, (1 2 0); 27.7°, rel. 19, (1 1 1); 30.9°, rel. 13, (2 3 0); 35.9°, rel. 19, (3 1 1); 37.7°, rel. 16, (4 2 0); 38.0°, rel. 24, (4 0 1); 40.0°, rel. 100, (2 3 1); 50.9°, rel. 24, (0 0 2); 55.0°, rel. 20, (7 1 0); 57.2°, rel. 15, (3 5 1)


For PaFe2Pb2, a GGA-PBE-relaxed structure gives the calculated PXRD pattern in this record (Cu Kα (weighted mean of Kα1 and Kα2)).

```
data_PaFe2Pb2
_cell_length_a 4.3413
_cell_length_b 4.3413
_cell_length_c 11.2720
_cell_angle_alpha 90.00
_cell_angle_beta 90.00
_cell_angle_gamma 90.00
_symmetry_space_group_name_H-M 'I 4/m m m'
_symmetry_Int_Tables_number 139
_symmetry_space_group_name_Hall '-I 4 2'
loop_
_atom_site_label
_atom_site_type_symbol
_atom_site_fract_x
_atom_site_fract_y
_atom_site_fract_z
Pa1 Pa 0.0000 0.0000 0.0000
Fe1 Fe 0.0000 0.0000 0.4072
Pb1 Pb 0.0000 0.5000 0.2500
```

Most intense lines, 2θ = 5–70°, low angle first:
21.9°, rel. 9, (1 0 1); 31.5°, rel. 15, (1 0 3); 31.8°, rel. 18, (0 0 4); 33.2°, rel. 100, (1 1 2); 41.6°, rel. 33, (2 0 0); 45.3°, rel. 11, (1 0 5); 53.3°, rel. 18, (2 0 4); 57.5°, rel. 13, (1 1 6); 60.3°, rel. 11, (2 2 0); 69.8°, rel. 8, (2 2 4)


For Pr5FePb3, a GGA-PBE-relaxed structure gives the calculated PXRD pattern in this record (Cu Kα (weighted mean of Kα1 and Kα2)).

```
data_Pr5FePb3
_cell_length_a 9.6132
_cell_length_b 9.6132
_cell_length_c 6.9271
_cell_angle_alpha 90.00
_cell_angle_beta 90.00
_cell_angle_gamma 120.00
_symmetry_space_group_name_H-M 'P 63/m c m'
_symmetry_Int_Tables_number 193
_symmetry_space_group_name_Hall '-P 6c 2'
loop_
_atom_site_label
_atom_site_type_symbol
_atom_site_fract_x
_atom_site_fract_y
_atom_site_fract_z
Pr1 Pr 0.0000 0.2401 0.2500
Pr2 Pr 0.3333 0.6667 0.0000
Fe1 Fe 0.0000 0.0000 0.0000
Pb1 Pb 0.0000 0.3979 0.7500
```

Most intense lines, 2θ = 5–70°, low angle first:
25.7°, rel. 20, (0 0 2); 28.4°, rel. 15, (2 1 0); 31.2°, rel. 100, (2 1 1); 31.8°, rel. 81, (1 1 2); 32.3°, rel. 44, (3 0 0); 41.2°, rel. 23, (3 1 1); 46.0°, rel. 16, (2 2 2); 48.9°, rel. 29, (2 1 3); 55.2°, rel. 13, (5 0 0); 61.8°, rel. 20, (5 0 2)


For Fe2Re2Pb3, a GGA-PBE-relaxed structure gives the calculated PXRD pattern in this record (Cu Kα (weighted mean of Kα1 and Kα2)).

```
data_Fe2Re2Pb3
_cell_length_a 4.5941
_cell_length_b 4.5941
_cell_length_c 23.1109
_cell_angle_alpha 90.00
_cell_angle_beta 90.00
_cell_angle_gamma 120.00
_symmetry_space_group_name_H-M 'R 3 m'
_symmetry_Int_Tables_number 160
_symmetry_space_group_name_Hall 'R 3 -2"'
loop_
_atom_site_label
_atom_site_type_symbol
_atom_site_fract_x
_atom_site_fract_y
_atom_site_fract_z
Fe1 Fe 0.0000 0.0000 0.0000
Fe2 Fe 0.0000 0.0000 0.4988
Re1 Re 0.0000 0.0000 0.2562
Re2 Re 0.0000 0.0000 0.7461
Pb1 Pb 0.0000 0.0000 0.3830
Pb2 Pb 0.0000 0.0000 0.6233
Pb3 Pb 0.0000 0.0000 0.8644
```

Most intense lines, 2θ = 5–70°, low angle first:
11.5°, rel. 12, (0 0 3); 22.7°, rel. 19, (1 0 1); 23.7°, rel. 32, (0 1 2); 29.6°, rel. 14, (0 1 5); 34.9°, rel. 9, (0 0 9); 38.5°, rel. 94, (0 1 8); 39.2°, rel. 100, (1 1 0); 53.5°, rel. 17, (1 1 9); 56.1°, rel. 32, (2 0 8); 69.2°, rel. 12, (1 0 16)


For Fe2PbS3, a GGA-PBE-relaxed structure gives the calculated PXRD pattern in this record (Cu Kα (weighted mean of Kα1 and Kα2)).

```
data_Fe2PbS3
_cell_length_a 3.3641
_cell_length_b 13.3919
_cell_length_c 9.3137
_cell_angle_alpha 90.00
_cell_angle_beta 90.00
_cell_angle_gamma 90.00
_symmetry_space_group_name_H-M 'C m c m'
_symmetry_Int_Tables_number 63
_symmetry_space_group_name_Hall '-C 2c 2'
loop_
_atom_site_label
_atom_site_type_symbol
_atom_site_fract_x
_atom_site_fract_y
_atom_site_fract_z
Fe1 Fe 0.0000 0.0000 0.0000
Fe2 Fe 0.0000 0.4284 0.2500
Pb1 Pb 0.0000 0.2538 0.7500
S1 S 0.0000 0.0406 0.2500
S2 S 0.0000 0.3837 0.0191
```

Most intense lines, 2θ = 5–70°, low angle first:
19.1°, rel. 37, (0 0 2); 23.3°, rel. 66, (0 2 2); 26.6°, rel. 23, (0 4 0); 29.0°, rel. 51, (1 1 1); 33.0°, rel. 30, (0 4 2); 34.8°, rel. 100, (1 3 1); 38.7°, rel. 42, (0 0 4); 40.1°, rel. 28, (1 1 3); 44.6°, rel. 42, (1 3 3); 45.0°, rel. 25, (0 6 2)


For FeSb6Pb4S14, a GGA-PBE-relaxed structure gives the calculated PXRD pattern in this record (Cu Kα (weighted mean of Kα1 and Kα2)).

```
data_FeSb6Pb4S14
_cell_length_a 4.0323
_cell_length_b 19.3838
_cell_length_c 15.8855
_cell_angle_alpha 90.00
_cell_angle_beta 92.24
_cell_angle_gamma 90.00
_symmetry_space_group_name_H-M 'P 1 21/c 1'
_symmetry_Int_Tables_number 14
loop_
_symmetry_equiv_pos_as_xyz
'x,y,z'
'-x,-y,-z'
'-x,y+1/2,-z+1/2'
'x,-y+1/2,z+1/2'
loop_
_atom_site_label
_atom_site_type_symbol
_atom_site_fract_x
_atom_site_fract_y
_atom_site_fract_z
Fe1 Fe 0.0000 0.0000 0.0000
Sb1 Sb 0.3743 0.1603 0.3720
Sb2 Sb 0.3768 0.0532 0.6037
Sb3 Sb 0.4088 0.5603 0.3172
Pb1 Pb 0.0362 0.6365 0.6810
Pb2 Pb 0.0631 0.7419 0.9241
S1 S 0.0162 0.1015 0.0817
S2 S 0.0330 0.5070 0.7844
S3 S 0.0638 0.6036 0.0006
S4 S 0.1059 0.7013 0.2213
S5 S 0.4178 0.2298 0.9497
S6 S 0.4433 0.1618 0.6844
S7 S 0.4775 0.0438 0.9077
```

Most intense lines, 2θ = 5–70°, low angle first:
22.9°, rel. 37, (0 1 4); 24.8°, rel. 35, (1 2 1); 25.6°, rel. 100, (0 5 2); 28.1°, rel. 43, (1 3 -2); 28.5°, rel. 33, (0 1 5); 29.9°, rel. 27, (1 2 3); 31.4°, rel. 60, (1 1 -4); 31.6°, rel. 39, (1 3 3); 32.4°, rel. 45, (1 2 -4); 43.6°, rel. 36, (1 8 0)


For Fe3Sb2Pb2, a GGA-PBE-relaxed structure gives the calculated PXRD pattern in this record (Cu Kα (weighted mean of Kα1 and Kα2)).

```
data_Fe3Sb2Pb2
_cell_length_a 4.5670
_cell_length_b 4.5670
_cell_length_c 24.7753
_cell_angle_alpha 90.00
_cell_angle_beta 90.00
_cell_angle_gamma 120.00
_symmetry_space_group_name_H-M 'R 3 m'
_symmetry_Int_Tables_number 160
_symmetry_space_group_name_Hall 'R 3 -2"'
loop_
_atom_site_label
_atom_site_type_symbol
_atom_site_fract_x
_atom_site_fract_y
_atom_site_fract_z
Fe1 Fe 0.0000 0.0000 0.0000
Fe2 Fe 0.0000 0.0000 0.2107
Fe3 Fe 0.0000 0.0000 0.6975
Sb1 Sb 0.0000 0.0000 0.3271
Sb2 Sb 0.0000 0.0000 0.8386
Pb1 Pb 0.0000 0.0000 0.1021
Pb2 Pb 0.0000 0.0000 0.5825
```

Most intense lines, 2θ = 5–70°, low angle first:
23.6°, rel. 28, (0 1 2); 26.7°, rel. 93, (1 0 4); 36.9°, rel. 77, (0 1 8); 39.5°, rel. 100, (1 1 0); 43.1°, rel. 15, (1 0 10); 48.3°, rel. 20, (0 2 4); 55.1°, rel. 24, (2 0 8); 60.4°, rel. 18, (1 1 12); 64.1°, rel. 17, (2 1 4); 69.9°, rel. 24, (1 2 8)


For FeSbPb2, a GGA-PBE-relaxed structure gives the calculated PXRD pattern in this record (Cu Kα (weighted mean of Kα1 and Kα2)).

```
data_FeSbPb2
_cell_length_a 7.2574
_cell_length_b 7.2574
_cell_length_c 7.2574
_cell_angle_alpha 90.00
_cell_angle_beta 90.00
_cell_angle_gamma 90.00
_symmetry_space_group_name_H-M 'F -4 3 m'
_symmetry_Int_Tables_number 216
_symmetry_space_group_name_Hall 'F -4 2 3'
loop_
_atom_site_label
_atom_site_type_symbol
_atom_site_fract_x
_atom_site_fract_y
_atom_site_fract_z
Fe1 Fe 0.0000 0.0000 0.0000
Sb1 Sb 0.2500 0.2500 0.7500
Pb1 Pb 0.0000 0.0000 0.5000
Pb2 Pb 0.2500 0.2500 0.2500
```

Most intense lines, 2θ = 5–70°, low angle first:
21.2°, rel. 18, (1 1 1); 24.5°, rel. 1, (2 0 0); 35.0°, rel. 100, (2 2 0); 41.3°, rel. 11, (3 1 1); 50.3°, rel. 18, (4 0 0); 55.2°, rel. 5, (3 3 1); 56.7°, rel. 1, (4 2 0); 62.7°, rel. 37, (4 2 2); 67.0°, rel. 4, (5 1 1)


For TbSmFe2Pb, a GGA-PBE-relaxed structure gives the calculated PXRD pattern in this record (Cu Kα (weighted mean of Kα1 and Kα2)).

```
data_TbSmFe2Pb
_cell_length_a 3.8858
_cell_length_b 3.9281
_cell_length_c 14.3761
_cell_angle_alpha 90.00
_cell_angle_beta 90.00
_cell_angle_gamma 90.00
_symmetry_space_group_name_H-M 'A m m 2'
_symmetry_Int_Tables_number 38
loop_
_symmetry_equiv_pos_as_xyz
'x,y,z'
'-x,-y,z'
'-x,y,z'
'x,-y,z'
'x,y+1/2,z+1/2'
'-x,-y+1/2,z+1/2'
'-x,y+1/2,z+1/2'
'x,-y+1/2,z+1/2'
loop_
_atom_site_label
_atom_site_type_symbol
_atom_site_fract_x
_atom_site_fract_y
_atom_site_fract_z
Tb1 Tb 0.0000 0.0000 0.0000
Sm1 Sm 0.0000 0.0000 0.7252
Fe1 Fe 0.5000 0.0000 0.1540
Fe2 Fe 0.5000 0.0000 0.5672
Pb1 Pb 0.5000 0.0000 0.3639
```

Most intense lines, 2θ = 5–70°, low angle first:
29.4°, rel. 51, (0 1 3); 33.0°, rel. 100, (1 1 1); 34.0°, rel. 74, (1 0 4); 37.6°, rel. 19, (0 0 6); 38.8°, rel. 33, (0 1 5); 46.2°, rel. 20, (0 2 0); 46.8°, rel. 20, (2 0 0); 55.8°, rel. 19, (1 1 7); 58.6°, rel. 31, (1 2 4); 67.8°, rel. 19, (2 2 0)